# 1
Computed X-ray powder pattern
Compound: Tm6AgRh2
Radiation: Cu Kα (λ = 1.5418 Å)
Structure: a cell relaxed with GGA-PBE
Neutral-atom scattering factors, no anomalous dispersion.

Peak list (10 most intense, 10° ≤ 2θ ≤ 90°, most intense first)
d [Å]  I_rel
2.552  100.0
2.759  99.8
2.629  61.8
2.499  60.9
1.515  37.2
2.305  31.9
2.489  29.7
2.241  28.0
2.919  27.3
2.282  26.6

Cell lengths 9.219, 9.323, 10.221 Å; angles 90.00, 90.00, 90.00 degrees
Space group Immm (No. 71)
Symmetry-distinct sites (fractional):
Tm 0.000 0.196 0.240
Tm 0.194 0.500 0.171
Tm 0.217 0.320 0.500
Ag 0.000 0.000 0.000
Ag 0.000 0.000 0.500
Rh 0.000 0.332 0.000
Rh 0.000 0.500 0.368


# 2
Computed X-ray powder pattern
Compound: Sc9Pb3N2
Radiation: Cu Kα (λ = 1.5418 Å)
Structure: a cell relaxed with GGA-PBE
Neutral-atom scattering factors, no anomalous dispersion.

Peak list (10 most intense, 10° ≤ 2θ ≤ 90°, most intense first)
d [Å]  I_rel
2.612  100.0
3.199  66.5
4.524  57.6
2.262  54.8
1.599  35.9
2.023  31.7
1.847  29.4
1.364  28.8
1.430  13.2
1.508  9.9

Cell lengths 6.3936, 6.3936, 7.8443 Å; angles 90.00, 90.00, 120.00 degrees
Space group P-3m1 (No. 164)
Symmetry-distinct sites (fractional):
Sc 0.0000 0.5000 0.0000
Sc 0.1697 0.3394 0.6715
Pb 0.0000 0.0000 0.0000
Pb 0.3333 0.6667 0.3355
N 0.3333 0.6667 0.8389


# 3
Computed X-ray powder pattern
Compound: Tb8Er2Sc
Radiation: Cu Kα (λ = 1.5418 Å)
Structure: a cell relaxed with GGA-PBE
Neutral-atom scattering factors, no anomalous dispersion.

Peak list (10 most intense, 10° ≤ 2θ ≤ 90°, most intense first)
d [Å]  I_rel
2.749  100.0
2.761  28.1
1.592  19.4
2.980  15.0
3.549  14.7
2.636  8.7
1.490  8.6
1.459  8.5
1.770  8.2
2.179  7.9

Cell lengths 5.522, 7.944, 15.817 Å; angles 90.00, 90.00, 90.00 degrees
Space group Immm (No. 71)
Symmetry-distinct sites (fractional):
Tb 0.000 0.000 0.165
Tb 0.000 0.209 0.367
Tb 0.000 0.285 0.000
Er 0.000 0.500 0.200
Sc 0.000 0.500 0.500


# 4
Computed X-ray powder pattern
Compound: CrNi4Os
Radiation: Cu Kα (λ = 1.5418 Å)
Structure: a cell relaxed with GGA-PBE
Neutral-atom scattering factors, no anomalous dispersion.

Peak list (10 most intense, 10° ≤ 2θ ≤ 90°, most intense first)
d [Å]  I_rel
2.078  100.0
2.067  98.3
1.781  60.8
1.274  37.8
1.822  36.3
4.798  28.3
2.902  18.8
3.281  16.7
3.561  14.9
2.549  12.7

Cell lengths 7.937, 3.645, 5.060 Å; angles 90.00, 108.52, 90.00 degrees
Space group C2/m (No. 12)
Symmetry-distinct sites (fractional):
Cr 0.000 0.000 0.000
Ni 0.166 0.500 0.330
Ni 0.166 0.500 0.835
Os 0.000 0.000 0.500